Theoretical X-ray diffraction stick pattern
Compound: K2RbYbV2O8
Radiation: Cu Kα (weighted mean of Kα1 and Kα2)
Structure: the PBE+U geometry in Alexandria
Intensities are scaled so that the largest is 100.

Structure:
Cell: 6.037 6.037 7.767 Å, 90.00 90.00 120.00°
Positions (direct):
1 K 0.333 0.667 0.194
2 K 0.667 0.333 0.806
3 Rb 0.000 0.000 0.500
4 Yb 0.000 0.000 0.000
5 V 0.333 0.667 0.749
6 V 0.667 0.333 0.251
7 O 0.175 0.350 0.827
8 O 0.175 0.825 0.827
9 O 0.333 0.667 0.531
10 O 0.350 0.175 0.173
11 O 0.650 0.825 0.827
12 O 0.667 0.333 0.469
13 O 0.825 0.175 0.173
14 O 0.825 0.650 0.173

Main lines, sorted by position (15 to 90 degrees two-theta):
2θ (°)  d/Å  I/Imax  index
16.96  5.228  41.1  1 0 0
20.48  4.337  26.5  1 0 1
28.63  3.117  100.0  0 1 2
29.59  3.018  88.7  1 1 0
41.65  2.169  48.7  2 0 2
51.92  1.761  35.8  1 2 2
52.51  1.743  16.5  3 0 0
56.34  1.633  22.5  1 1 4
61.43  1.509  15.6  2 2 0
69.15  1.358  15.9  3 1 2